For CdFeTeO6, the PBE+U geometry in Alexandria gives the simulated X-ray diffraction stick pattern in this record (Cu Kα X-rays).

Structure:
```
data_CdFeTeO6
_chemical_formula_sum 'Cd2 Fe2 Te2 O12'
_symmetry_space_group_name_H-M 'P 42 n m'
_symmetry_Int_Tables_number 102
_cell_length_a 4.838
_cell_length_b 4.838
_cell_length_c 9.557
_cell_angle_alpha 90.00
_cell_angle_beta 90.00
_cell_angle_gamma 90.00
loop_
_symmetry_equiv_pos_as_xyz
'x,y,z'
'-y+1/2,x+1/2,z+1/2'
'-x,-y,z'
'y+1/2,-x+1/2,z+1/2'
'-x+1/2,y+1/2,z+1/2'
'y,x,z'
'x+1/2,-y+1/2,z+1/2'
'-y,-x,z'
loop_
_atom_site_label
_atom_site_type_symbol
_atom_site_fract_x
_atom_site_fract_y
_atom_site_fract_z
Cd1 Cd 0.000 0.000 0.000
Fe1 Fe 0.000 0.000 0.671
Te1 Te 0.000 0.000 0.335
O1 O 0.175 0.175 0.497
O2 O 0.202 0.202 0.192
O3 O 0.214 0.214 0.819
```

Main lines, low angle first (5 to 70 degrees two-theta):
26.05 deg, I = 1000, (1 1 0)
33.68 deg, I = 750, (1 0 3)
37.17 deg, I = 198, (2 0 0)
51.03 deg, I = 635, (2 1 3)
53.58 deg, I = 166, (2 2 0)
60.52 deg, I = 140, (3 1 0)
64.53 deg, I = 140, (1 1 6)
64.80 deg, I = 190, (3 0 3)